Structure and simulated X-ray diffraction stick pattern of Dy5Sn11 (the GGA-PBE geometry in the Materials Project; Cu Kα (weighted mean of Kα1 and Kα2)).
Peak positions follow from Bragg's law for the DFT cell and can differ from measured ones.

Peak list (6 most intense, 5° ≤ 2θ ≤ 70°, in order of rising 2θ)
index, 2θ (°), I/Imax
1 1 8, 33.12, 100.0
0 0 16, 33.41, 19.8
0 2 0, 40.35, 15.7
2 0 0, 41.13, 14.9
1 3 8, 68.79, 12.6
3 1 8, 69.89, 12.1

```
data_Dy5Sn11
_cell_length_a 4.389
_cell_length_b 4.471
_cell_length_c 42.916
_cell_angle_alpha 90.00
_cell_angle_beta 90.00
_cell_angle_gamma 90.00
_space_group_name_H-M_alt 'I m m m'
_space_group_IT_number 71
_space_group_name_Hall '-I 2 2'
loop_
_atom_site_label
_atom_site_type_symbol
_atom_site_fract_x
_atom_site_fract_y
_atom_site_fract_z
Dy1 Dy 0.000 0.000 0.000
Dy2 Dy 0.000 0.000 0.383
Dy3 Dy 0.000 0.500 0.192
Sn1 Sn 0.000 0.000 0.131
Sn2 Sn 0.000 0.000 0.250
Sn3 Sn 0.000 0.000 0.500
Sn4 Sn 0.000 0.500 0.059
Sn5 Sn 0.000 0.500 0.320
Sn6 Sn 0.000 0.500 0.440
```